For FePtBr2, the PBE geometry in Alexandria gives the calculated X-ray powder pattern in this record (a wavelength of 1.5418 Å).
No peak broadening, texture or thermal motion is included.

Structural model:
```
FePtBr2
1.0
3.132 -1.809 0.000
3.132 1.809 0.000
-1.589 0.000 8.480
Fe Pt Br
1 1 2
direct
0.000 0.000 0.000
0.372 0.372 0.161
0.602 0.602 0.806
0.812 0.812 0.371
```

Most intense lines, 2θ from 10° to 90°, in order of rising 2θ:
| 2theta | I_rel |
| --- | --- |
| 10.43 | 1000 |
| 28.99 | 151 |
| 31.47 | 133 |
| 32.72 | 312 |
| 34.06 | 544 |
| 41.04 | 121 |
| 45.26 | 208 |
| 50.51 | 262 |